[1]
Structure and theoretical powder diffraction line list of Cs2SrTeBr6 (a structure optimized by DFT (PBE); Cu Kα (weighted mean of Kα1 and Kα2)).
Intensities are scaled so that the largest is 100.

Principal peaks in the range 5° ≤ 2θ ≤ 70°, sorted by position:
Position (°2θ), I (rel.)
20.0, 68
25.3, 100
25.6, 72
31.0, 99
40.6, 81
52.0, 38

Atomic structure:
```
Cs2SrTeBr6
1.0
-4.080 4.080 6.963
4.080 -4.080 6.963
4.080 4.080 -6.963
Cs Sr Te Br
2 1 1 6
Direct
0.250 0.750 0.500
0.750 0.250 0.500
0.000 0.000 0.000
0.500 0.500 0.000
0.213 0.213 0.000
0.262 0.262 0.525
0.262 0.738 0.000
0.738 0.262 0.000
0.738 0.738 0.475
0.787 0.787 0.000
```

[2]
Structure and theoretical powder diffraction line list of Cs2SrTiBr6 (a structure optimized by DFT (PBE); Cu Kα (weighted mean of Kα1 and Kα2)).
Intensities are scaled so that the largest is 100.

Principal peaks in the range 5° ≤ 2θ ≤ 70°, sorted by position:
Position (°2θ), I (rel.)
22.0, 35
27.1, 94
31.4, 100
45.0, 70
53.3, 39
55.9, 24

Atomic structure:
```
Cs2SrTiBr6
1.0
0.000 5.702 5.702
5.702 0.000 5.702
5.702 5.702 0.000
Cs Sr Ti Br
2 1 1 6
Direct
0.250 0.250 0.250
0.750 0.750 0.750
0.000 0.000 0.000
0.500 0.500 0.500
0.264 0.264 0.736
0.264 0.736 0.264
0.264 0.736 0.736
0.736 0.264 0.264
0.736 0.264 0.736
0.736 0.736 0.264
```

Repeat the first record exactly.
Structure and theoretical powder diffraction line list of Cs2SrTeBr6 (a structure optimized by DFT (PBE); Cu Kα (weighted mean of Kα1 and Kα2)).
Intensities are scaled so that the largest is 100.

Principal peaks in the range 5° ≤ 2θ ≤ 70°, sorted by position:
Position (°2θ), I (rel.)
20.0, 68
25.3, 100
25.6, 72
31.0, 99
40.6, 81
52.0, 38

Atomic structure:
```
Cs2SrTeBr6
1.0
-4.080 4.080 6.963
4.080 -4.080 6.963
4.080 4.080 -6.963
Cs Sr Te Br
2 1 1 6
Direct
0.250 0.750 0.500
0.750 0.250 0.500
0.000 0.000 0.000
0.500 0.500 0.000
0.213 0.213 0.000
0.262 0.262 0.525
0.262 0.738 0.000
0.738 0.262 0.000
0.738 0.738 0.475
0.787 0.787 0.000
```